1.
For AcPmTe2, the GGA-PBE geometry in Alexandria gives the theoretical powder X-ray diffraction pattern in this record (λ = 1.5418 Å (Cu Kα)).
Neutral-atom scattering factors, no anomalous dispersion.

The 10 most intense peaks (2θ from 10° to 90°), sorted by position:
- hkl 1 0 2, 2θ 25.55, d 3.487, I 576
- hkl 1 0 3, 2θ 28.55, d 3.127, I 1000
- hkl 1 0 4, 2θ 32.32, d 2.770, I 134
- hkl 1 0 5, 2θ 36.66, d 2.451, I 327
- hkl 1 1 0, 2θ 40.20, d 2.243, I 564
- hkl 1 0 6, 2θ 41.43, d 2.180, I 247
- hkl 0 0 8, 2θ 45.96, d 1.975, I 117
- hkl 2 0 3, 2θ 50.04, d 1.823, I 215
- hkl 1 1 8, 2θ 62.68, d 1.482, I 280
- hkl 2 1 3, 2θ 66.04, d 1.415, I 188

Structure:
```
data_AcPmTe2
_chemical_formula_sum 'Ac2 Pm2 Te4'
_space_group_name_H-M_alt 'P 63/m m c'
_space_group_IT_number 194
_space_group_name_Hall '-P 6c 2c'
_cell_length_a 4.4869
_cell_length_b 4.4869
_cell_length_c 15.7961
_cell_angle_alpha 90.00
_cell_angle_beta 90.00
_cell_angle_gamma 120.00
loop_
_atom_site_label
_atom_site_fract_x
_atom_site_fract_y
_atom_site_fract_z
_atom_site_occupancy
Ac1 0.3333 0.6667 0.2500 1
Pm1 0.0000 0.0000 0.0000 1
Te1 0.3333 0.6667 0.6156 1
```


2.
For Tl3As2Br9, the GGA-PBE geometry in Alexandria gives the theoretical powder X-ray diffraction pattern in this record (λ = 1.5418 Å (Cu Kα)).
Neutral-atom scattering factors, no anomalous dispersion.

The 10 most intense peaks (2θ from 10° to 90°), sorted by position:
- hkl 1 1 0, 2θ 23.62, d 3.767, I 438
- hkl 1 0 5, 2θ 26.83, d 3.322, I 396
- hkl 0 0 6, 2θ 27.73, d 3.217, I 514
- hkl 2 0 2, 2θ 28.89, d 3.090, I 1000
- hkl 2 0 3, 2θ 30.73, d 2.910, I 896
- hkl 2 0 4, 2θ 33.15, d 2.703, I 524
- hkl 2 0 5, 2θ 36.05, d 2.492, I 532
- hkl 2 0 8, 2θ 46.83, d 1.940, I 319
- hkl 2 2 0, 2θ 48.32, d 1.883, I 563
- hkl 2 2 6, 2θ 56.63, d 1.625, I 331

Structure:
```
data_Tl3As2Br9
_chemical_formula_sum 'Tl6 As4 Br18'
_space_group_name_H-M_alt 'P 63/m m c'
_space_group_IT_number 194
_space_group_name_Hall '-P 6c 2c'
_cell_length_a 7.5338
_cell_length_b 7.5338
_cell_length_c 19.3022
_cell_angle_alpha 90.00
_cell_angle_beta 90.00
_cell_angle_gamma 120.00
loop_
_atom_site_label
_atom_site_fract_x
_atom_site_fract_y
_atom_site_fract_z
_atom_site_occupancy
Tl1 0.0000 0.0000 0.2500 1
Tl2 0.3333 0.6667 0.0565 1
As1 0.3333 0.6667 0.6573 1
Br1 0.0012 0.5006 0.7500 1
Br2 0.1698 0.3397 0.5841 1
```


3.
For Cs2LiUS6, the GGA-PBE geometry in Alexandria gives the theoretical powder X-ray diffraction pattern in this record (λ = 1.5418 Å (Cu Kα)).
Neutral-atom scattering factors, no anomalous dispersion.

The 10 most intense peaks (2θ from 10° to 90°), sorted by position:
- hkl 1 1 -1, 2θ 14.75, d 6.006, I 604
- hkl 2 0 0, 2θ 24.20, d 3.678, I 1000
- hkl 1 3 0, 2θ 28.46, d 3.137, I 356
- hkl 2 2 0, 2θ 29.75, d 3.003, I 121
- hkl 0 4 0, 2θ 34.49, d 2.601, I 539
- hkl 3 3 -2, 2θ 37.68, d 2.387, I 130
- hkl 2 4 0, 2θ 42.56, d 2.124, I 386
- hkl 4 0 0, 2θ 49.55, d 1.840, I 310
- hkl 2 0 2, 2θ 55.87, d 1.646, I 144
- hkl 4 2 1, 2θ 67.30, d 1.391, I 125

Structure:
```
data_Cs2LiUS6
_chemical_formula_sum 'Cs4 Li2 U2 S12'
_space_group_name_H-M_alt 'C 1 2/m 1'
_space_group_IT_number 12
_space_group_name_Hall '-C 2y'
_cell_length_a 10.397
_cell_length_b 10.406
_cell_length_c 7.343
_cell_angle_alpha 90.00
_cell_angle_beta 134.88
_cell_angle_gamma 90.00
loop_
_atom_site_label
_atom_site_fract_x
_atom_site_fract_y
_atom_site_fract_z
_atom_site_occupancy
Cs1 0.000 0.250 0.000 1
Li1 0.000 0.000 0.500 1
U1 0.000 0.500 0.500 1
S1 0.000 0.257 0.500 1
S2 0.243 0.500 0.499 1
S3 0.243 0.500 0.987 1
```


4.
For InCu6Ag, the GGA-PBE geometry in Alexandria gives the theoretical powder X-ray diffraction pattern in this record (λ = 1.5418 Å (Cu Kα)).
Neutral-atom scattering factors, no anomalous dispersion.

The 10 most intense peaks (2θ from 10° to 90°), sorted by position:
- hkl 1 0 1, 2θ 27.82, d 3.207, I 96
- hkl 1 1 0, 2θ 33.16, d 2.701, I 31
- hkl 2 0 0, 2θ 38.48, d 2.339, I 244
- hkl 0 0 2, 2θ 40.98, d 2.203, I 275
- hkl 2 0 1, 2θ 43.82, d 2.066, I 1000
- hkl 2 0 2, 2θ 57.46, d 1.604, I 142
- hkl 2 2 0, 2θ 69.61, d 1.351, I 149
- hkl 2 0 3, 2θ 76.61, d 1.244, I 185
- hkl 2 2 2, 2θ 84.06, d 1.151, I 175
- hkl 4 0 1, 2θ 85.98, d 1.131, I 126

Structure:
```
data_InCu6Ag
_chemical_formula_sum 'In1 Cu6 Ag1'
_space_group_name_H-M_alt 'P -6 m 2'
_space_group_IT_number 187
_space_group_name_Hall 'P -6 2'
_cell_length_a 5.4028
_cell_length_b 5.4028
_cell_length_c 4.4052
_cell_angle_alpha 90.00
_cell_angle_beta 90.00
_cell_angle_gamma 120.00
loop_
_atom_site_label
_atom_site_fract_x
_atom_site_fract_y
_atom_site_fract_z
_atom_site_occupancy
In1 0.0000 0.0000 0.0000 1
Cu1 0.3503 0.1752 0.5000 1
Cu2 0.5069 0.0138 0.0000 1
Ag1 0.3333 0.6667 0.5000 1
```